Theoretical X-ray powder pattern of Y2Ho3S4 for CuKα, from a PBE-relaxed structure.
No peak broadening, texture or thermal motion is included.

Crystal structure
a = 3.853 Å, b = 3.853 Å, c = 15.870 Å
α = 90.00°, β = 90.00°, γ = 120.00°
Atoms (fractional coordinates):
Y (0.333, 0.667, 0.206)
Y (0.667, 0.333, 0.794)
Ho (0.000, 0.000, 0.000)
Ho (0.333, 0.667, 0.590)
Ho (0.667, 0.333, 0.410)
S (0.000, 0.000, 0.307)
S (0.000, 0.000, 0.693)
S (0.333, 0.667, 0.899)
S (0.667, 0.333, 0.101)

Largest 10 diffraction maxima, in order of rising 2θ, 2θ from 5° to 70°:
- 2θ = 27.31°, I 27
- 2θ = 28.11°, I 22
- 2θ = 29.03°, I 42
- 2θ = 31.70°, I 100
- 2θ = 35.14°, I 19
- 2θ = 43.67°, I 23
- 2θ = 47.18°, I 38
- 2θ = 48.56°, I 16
- 2θ = 55.82°, I 20
- 2θ = 57.96°, I 17

---

Theoretical X-ray powder pattern of Ho5Sb2 for CuKα, from a PBE-relaxed structure.
No peak broadening, texture or thermal motion is included.

Crystal structure
a = 8.598 Å, b = 8.598 Å, c = 8.171 Å
α = 95.94°, β = 95.94°, γ = 42.87°
Atoms (fractional coordinates):
Ho (0.140, 0.317, 0.319)
Ho (0.158, 0.842, 0.750)
Ho (0.273, 0.537, 0.069)
Ho (0.317, 0.140, 0.819)
Ho (0.463, 0.727, 0.431)
Ho (0.537, 0.273, 0.569)
Ho (0.683, 0.860, 0.181)
Ho (0.727, 0.463, 0.931)
Ho (0.842, 0.158, 0.250)
Ho (0.860, 0.683, 0.681)
Sb (0.068, 0.728, 0.417)
Sb (0.272, 0.932, 0.083)
Sb (0.728, 0.068, 0.917)
Sb (0.932, 0.272, 0.583)

Largest 10 diffraction maxima, in order of rising 2θ, 2θ from 5° to 70°:
- 2θ = 29.65°, I 46
- 2θ = 29.80°, I 66
- 2θ = 30.52°, I 83
- 2θ = 32.12°, I 42
- 2θ = 32.36°, I 55
- 2θ = 32.51°, I 56
- 2θ = 32.99°, I 81
- 2θ = 33.24°, I 56
- 2θ = 35.99°, I 100
- 2θ = 37.38°, I 64

---

Theoretical X-ray powder pattern of HoSc5Sb4 for CuKα, from a PBE-relaxed structure.
No peak broadening, texture or thermal motion is included.

Crystal structure
a = 9.704 Å, b = 9.888 Å, c = 5.668 Å
α = 90.00°, β = 90.00°, γ = 90.00°
Atoms (fractional coordinates):
Ho (0.250, 0.250, 0.000)
Ho (0.750, 0.750, 0.000)
Sc (0.000, 0.000, 0.250)
Sc (0.000, 0.000, 0.750)
Sc (0.000, 0.500, 0.250)
Sc (0.000, 0.500, 0.750)
Sc (0.250, 0.750, 0.500)
Sc (0.500, 0.000, 0.250)
Sc (0.500, 0.000, 0.750)
Sc (0.500, 0.500, 0.250)
Sc (0.500, 0.500, 0.750)
Sc (0.750, 0.250, 0.500)
Sb (0.065, 0.250, 0.500)
Sb (0.250, 0.577, 0.000)
Sb (0.250, 0.923, 0.000)
Sb (0.435, 0.250, 0.500)
Sb (0.565, 0.750, 0.500)
Sb (0.750, 0.077, 0.000)
Sb (0.750, 0.423, 0.000)
Sb (0.935, 0.750, 0.500)

Largest 10 diffraction maxima, in order of rising 2θ, 2θ from 5° to 70°:
- 2θ = 23.88°, I 26
- 2θ = 24.15°, I 100
- 2θ = 28.60°, I 49
- 2θ = 31.57°, I 24
- 2θ = 32.76°, I 41
- 2θ = 33.15°, I 34
- 2θ = 36.55°, I 30
- 2θ = 36.73°, I 26
- 2θ = 42.27°, I 75
- 2θ = 43.12°, I 32

---

Theoretical X-ray powder pattern of HoSc2Sb4 for CuKα, from a PBE-relaxed structure.
No peak broadening, texture or thermal motion is included.

Crystal structure
a = 5.869 Å, b = 5.869 Å, c = 15.988 Å
α = 90.00°, β = 90.00°, γ = 138.00°
Atoms (fractional coordinates):
Ho (0.066, 0.934, 0.750)
Ho (0.934, 0.066, 0.250)
Sc (0.346, 0.654, 0.575)
Sc (0.346, 0.654, 0.925)
Sc (0.654, 0.346, 0.075)
Sc (0.654, 0.346, 0.425)
Sb (0.000, 0.000, 0.000)
Sb (0.000, 0.000, 0.500)
Sb (0.342, 0.658, 0.116)
Sb (0.342, 0.658, 0.384)
Sb (0.355, 0.645, 0.750)
Sb (0.645, 0.355, 0.250)
Sb (0.658, 0.342, 0.616)
Sb (0.658, 0.342, 0.884)

Largest 10 diffraction maxima, in order of rising 2θ, 2θ from 5° to 70°:
- 2θ = 27.63°, I 35
- 2θ = 28.23°, I 46
- 2θ = 31.95°, I 61
- 2θ = 32.46°, I 100
- 2θ = 32.96°, I 16
- 2θ = 36.23°, I 35
- 2θ = 36.69°, I 17
- 2θ = 36.89°, I 17
- 2θ = 43.01°, I 31
- 2θ = 56.90°, I 19

---

Theoretical X-ray powder pattern of Ho4ScSb5 for CuKα, from a PBE-relaxed structure.
No peak broadening, texture or thermal motion is included.

Crystal structure
a = 7.501 Å, b = 7.501 Å, c = 7.501 Å
α = 99.63°, β = 99.63°, γ = 131.72°
Atoms (fractional coordinates):
Ho (0.097, 0.699, 0.796)
Ho (0.301, 0.097, 0.398)
Ho (0.699, 0.903, 0.602)
Ho (0.903, 0.301, 0.204)
Sc (0.500, 0.500, 0.000)
Sb (0.000, 0.000, 0.000)
Sb (0.207, 0.401, 0.609)
Sb (0.401, 0.793, 0.194)
Sb (0.599, 0.207, 0.806)
Sb (0.793, 0.599, 0.391)

Largest 10 diffraction maxima, in order of rising 2θ, 2θ from 5° to 70°:
- 2θ = 12.93°, I 3
- 2θ = 17.11°, I 3
- 2θ = 25.18°, I 3
- 2θ = 29.15°, I 100
- 2θ = 41.70°, I 76
- 2θ = 51.69°, I 27
- 2θ = 60.35°, I 4
- 2θ = 60.49°, I 8
- 2θ = 68.47°, I 23
- 2θ = 68.55°, I 11

---

Theoretical X-ray powder pattern of Ho3SbSe2 for CuKα, from a PBE-relaxed structure.
No peak broadening, texture or thermal motion is included.

Crystal structure
a = 7.205 Å, b = 7.205 Å, c = 7.205 Å
α = 146.36°, β = 131.60°, γ = 60.24°
Atoms (fractional coordinates):
Ho (0.000, 0.000, 0.000)
Ho (0.325, 0.325, 0.000)
Ho (0.675, 0.675, 0.000)
Sb (0.500, 0.000, 0.500)
Se (0.164, 0.664, 0.500)
Se (0.836, 0.336, 0.500)

Largest 10 diffraction maxima, in order of rising 2θ, 2θ from 5° to 70°:
- 2θ = 26.19°, I 21
- 2θ = 30.26°, I 51
- 2θ = 30.37°, I 100
- 2θ = 43.40°, I 94
- 2θ = 43.57°, I 18
- 2θ = 51.33°, I 4
- 2θ = 53.82°, I 20
- 2θ = 53.96°, I 19
- 2θ = 62.94°, I 6
- 2θ = 63.18°, I 12

---

Theoretical X-ray powder pattern of SmHoSbSe for CuKα, from a PBE-relaxed structure.
No peak broadening, texture or thermal motion is included.

Crystal structure
a = 4.299 Å, b = 4.299 Å, c = 6.027 Å
α = 90.00°, β = 90.00°, γ = 90.00°
Atoms (fractional coordinates):
Sm (0.000, 0.000, 0.000)
Ho (0.500, 0.500, 0.501)
Sb (0.500, 0.500, 0.001)
Se (0.000, 0.000, 0.500)

Largest 10 diffraction maxima, in order of rising 2θ, 2θ from 5° to 70°:
- 2θ = 25.45°, I 13
- 2θ = 29.38°, I 100
- 2θ = 29.65°, I 49
- 2θ = 42.03°, I 38
- 2θ = 42.23°, I 74
- 2θ = 52.27°, I 40
- 2θ = 60.95°, I 13
- 2θ = 69.08°, I 17
- 2θ = 69.23°, I 17
- 2θ = 69.65°, I 17

---

Theoretical X-ray powder pattern of Ho6Si2SbTe3 for CuKα, from a PBE-relaxed structure.
No peak broadening, texture or thermal motion is included.

Crystal structure
a = 9.600 Å, b = 9.600 Å, c = 8.638 Å
α = 103.56°, β = 103.56°, γ = 25.59°
Atoms (fractional coordinates):
Ho (0.012, 0.012, 0.251)
Ho (0.325, 0.325, 0.434)
Ho (0.332, 0.332, 0.888)
Ho (0.668, 0.668, 0.112)
Ho (0.675, 0.675, 0.566)
Ho (0.988, 0.988, 0.749)
Si (0.168, 0.168, 0.336)
Si (0.832, 0.832, 0.664)
Sb (0.500, 0.500, 0.000)
Te (0.163, 0.163, 0.834)
Te (0.500, 0.500, 0.500)
Te (0.837, 0.837, 0.166)

Largest 10 diffraction maxima, in order of rising 2θ, 2θ from 5° to 70°:
- 2θ = 25.59°, I 7
- 2θ = 29.48°, I 100
- 2θ = 41.83°, I 12
- 2θ = 42.03°, I 23
- 2θ = 42.34°, I 24
- 2θ = 42.52°, I 13
- 2θ = 52.59°, I 13
- 2θ = 61.18°, I 11
- 2θ = 69.14°, I 8
- 2θ = 69.59°, I 10

---

Theoretical X-ray powder pattern of Sm5Ho3Sb8 for CuKα, from a PBE-relaxed structure.
No peak broadening, texture or thermal motion is included.

Crystal structure
a = 8.866 Å, b = 8.866 Å, c = 8.866 Å
α = 60.02°, β = 60.02°, γ = 60.02°
Atoms (fractional coordinates):
Sm (0.000, 0.000, 0.000)
Sm (0.000, 0.500, 0.500)
Sm (0.500, 0.000, 0.500)
Sm (0.500, 0.500, 0.000)
Sm (0.500, 0.500, 0.500)
Ho (0.000, 0.000, 0.500)
Ho (0.000, 0.500, 0.000)
Ho (0.500, 0.000, 0.000)
Sb (0.245, 0.750, 0.750)
Sb (0.248, 0.248, 0.248)
Sb (0.250, 0.250, 0.755)
Sb (0.250, 0.755, 0.250)
Sb (0.750, 0.245, 0.750)
Sb (0.750, 0.750, 0.245)
Sb (0.752, 0.752, 0.752)
Sb (0.755, 0.250, 0.250)

Largest 8 diffraction maxima, in order of rising 2θ, 2θ from 5° to 70°:
- 2θ = 24.59°, I 3
- 2θ = 28.47°, I 100
- 2θ = 40.70°, I 76
- 2θ = 48.13°, I 2
- 2θ = 50.42°, I 27
- 2θ = 58.92°, I 13
- 2θ = 64.81°, I 1
- 2θ = 66.71°, I 35

---

Theoretical X-ray powder pattern of Sm2HoSb2 for CuKα, from a PBE-relaxed structure.
No peak broadening, texture or thermal motion is included.

Crystal structure
a = 7.938 Å, b = 7.938 Å, c = 7.938 Å
α = 115.14°, β = 83.84°, γ = 133.05°
Atoms (fractional coordinates):
Sm (0.152, 0.143, 0.295)
Sm (0.348, 0.643, 0.992)
Sm (0.652, 0.357, 0.008)
Sm (0.848, 0.857, 0.705)
Ho (0.250, 0.750, 0.500)
Ho (0.750, 0.250, 0.500)
Sb (0.108, 0.780, 0.888)
Sb (0.392, 0.280, 0.672)
Sb (0.608, 0.720, 0.328)
Sb (0.892, 0.220, 0.112)

Largest 10 diffraction maxima, in order of rising 2θ, 2θ from 5° to 70°:
- 2θ = 24.91°, I 100
- 2θ = 26.34°, I 43
- 2θ = 28.22°, I 40
- 2θ = 31.10°, I 81
- 2θ = 32.44°, I 69
- 2θ = 35.36°, I 64
- 2θ = 37.05°, I 48
- 2θ = 37.94°, I 52
- 2θ = 41.85°, I 74
- 2θ = 48.93°, I 57

---

Theoretical X-ray powder pattern of SmHoSbTe for CuKα, from a PBE-relaxed structure.
No peak broadening, texture or thermal motion is included.

Crystal structure
a = 7.658 Å, b = 7.658 Å, c = 7.658 Å
α = 33.43°, β = 33.43°, γ = 33.43°
Atoms (fractional coordinates):
Sm (0.000, 0.000, 0.000)
Ho (0.507, 0.507, 0.507)
Sb (0.251, 0.251, 0.251)
Te (0.756, 0.756, 0.756)

Largest 10 diffraction maxima, in order of rising 2θ, 2θ from 5° to 70°:
- 2θ = 24.72°, I 3
- 2θ = 28.62°, I 100
- 2θ = 40.86°, I 37
- 2θ = 40.98°, I 38
- 2θ = 48.42°, I 1
- 2θ = 50.54°, I 7
- 2θ = 50.74°, I 20
- 2θ = 59.25°, I 13
- 2θ = 67.01°, I 17
- 2θ = 67.19°, I 17

---

Theoretical X-ray powder pattern of Sm2HoTh3Sb6 for CuKα, from a PBE-relaxed structure.
No peak broadening, texture or thermal motion is included.

Crystal structure
a = 9.997 Å, b = 9.997 Å, c = 8.920 Å
α = 102.72°, β = 102.72°, γ = 25.89°
Atoms (fractional coordinates):
Sm (0.167, 0.167, 0.333)
Sm (0.833, 0.833, 0.667)
Ho (0.500, 0.500, 0.000)
Th (0.168, 0.168, 0.834)
Th (0.500, 0.500, 0.500)
Th (0.832, 0.832, 0.166)
Sb (0.000, 0.000, 0.243)
Sb (0.000, 0.000, 0.757)
Sb (0.333, 0.333, 0.419)
Sb (0.336, 0.336, 0.916)
Sb (0.664, 0.664, 0.084)
Sb (0.667, 0.667, 0.581)

Largest 10 diffraction maxima, in order of rising 2θ, 2θ from 5° to 70°:
- 2θ = 24.36°, I 7
- 2θ = 28.23°, I 100
- 2θ = 40.29°, I 39
- 2θ = 40.41°, I 38
- 2θ = 49.92°, I 21
- 2θ = 50.12°, I 7
- 2θ = 58.38°, I 13
- 2θ = 66.00°, I 18
- 2θ = 66.14°, I 12
- 2θ = 66.24°, I 6

---

Theoretical X-ray powder pattern of SmHo2TmSb4 for CuKα, from a PBE-relaxed structure.
No peak broadening, texture or thermal motion is included.

Crystal structure
a = 7.598 Å, b = 7.598 Å, c = 7.598 Å
α = 131.82°, β = 131.82°, γ = 70.51°
Atoms (fractional coordinates):
Sm (0.000, 0.000, 0.000)
Ho (0.250, 0.750, 0.500)
Ho (0.750, 0.250, 0.500)
Tm (0.500, 0.500, 0.000)
Sb (0.000, 0.500, 0.500)
Sb (0.253, 0.253, 0.000)
Sb (0.500, 0.000, 0.500)
Sb (0.747, 0.747, 0.000)

Largest 8 diffraction maxima, in order of rising 2θ, 2θ from 5° to 70°:
- 2θ = 24.86°, I 4
- 2θ = 28.78°, I 100
- 2θ = 41.16°, I 76
- 2θ = 48.68°, I 2
- 2θ = 51.00°, I 27
- 2θ = 59.62°, I 13
- 2θ = 65.60°, I 1
- 2θ = 67.53°, I 35

---

Theoretical X-ray powder pattern of SmHoTm2Sb4 for CuKα, from a PBE-relaxed structure.
No peak broadening, texture or thermal motion is included.

Crystal structure
a = 7.586 Å, b = 7.586 Å, c = 7.586 Å
α = 131.83°, β = 131.83°, γ = 70.49°
Atoms (fractional coordinates):
Sm (0.000, 0.000, 0.000)
Ho (0.500, 0.500, 0.000)
Tm (0.250, 0.750, 0.500)
Tm (0.750, 0.250, 0.500)
Sb (0.000, 0.500, 0.500)
Sb (0.253, 0.253, 0.000)
Sb (0.500, 0.000, 0.500)
Sb (0.747, 0.747, 0.000)

Largest 8 diffraction maxima, in order of rising 2θ, 2θ from 5° to 70°:
- 2θ = 24.90°, I 4
- 2θ = 28.83°, I 100
- 2θ = 41.23°, I 76
- 2θ = 48.77°, I 2
- 2θ = 51.09°, I 27
- 2θ = 59.73°, I 13
- 2θ = 65.73°, I 1
- 2θ = 67.66°, I 35